TbZrNO: computed powder diffraction line list (Cu Kα, 1.54184 Å), based on a GGA-PBE-relaxed structure.
Intensities are scaled so that the largest is 1000.

Peak list (12 most intense, 10 to 80 degrees two-theta, sorted by position)
- 26.25 deg, d = 3.395 Å, intensity 339, (2 1 0)
- 27.70 deg, d = 3.221 Å, intensity 279, (0 2 0)
- 32.29 deg, d = 2.772 Å, intensity 1000, (2 1 1)
- 33.51 deg, d = 2.674 Å, intensity 335, (0 2 1)
- 37.47 deg, d = 2.400 Å, intensity 339, (0 0 2)
- 45.40 deg, d = 1.998 Å, intensity 177, (4 0 0)
- 46.33 deg, d = 1.960 Å, intensity 138, (2 1 2)
- 48.11 deg, d = 1.891 Å, intensity 287, (2 3 0)
- 57.59 deg, d = 1.601 Å, intensity 136, (4 2 1)
- 60.28 deg, d = 1.535 Å, intensity 147, (4 0 2)
- 62.53 deg, d = 1.485 Å, intensity 254, (2 3 2)
- 64.37 deg, d = 1.447 Å, intensity 144, (2 1 3)

Crystal structure
Lattice parameters (Å, degrees): 7.9914 6.4413 4.7999 90.00 90.00 90.00
Space group Pbcm (No. 57)
Asymmetric unit:
Tb 0.1351 0.0791 0.2500 [4 per cell]
Zr 0.3899 0.5586 0.2500 [4 per cell]
N 0.1350 0.0554 0.7500 [4 per cell]
O 0.3681 0.6090 0.7500 [4 per cell]

---

Zr4Sb2AsC: computed powder diffraction line list (Cu Kα, 1.54184 Å), based on a GGA-PBE-relaxed structure.
Intensities are scaled so that the largest is 1000.

Peak list (12 most intense, 10 to 80 degrees two-theta, sorted by position)
- 28.09 deg, d = 3.177 Å, intensity 157, (1 0 0)
- 30.94 deg, d = 2.890 Å, intensity 128, (1 0 2)
- 34.21 deg, d = 2.621 Å, intensity 1000, (1 0 3)
- 38.36 deg, d = 2.346 Å, intensity 102, (0 1 4)
- 38.82 deg, d = 2.320 Å, intensity 69, (0 0 6)
- 43.21 deg, d = 2.094 Å, intensity 100, (0 1 5)
- 48.59 deg, d = 1.874 Å, intensity 153, (0 1 6)
- 49.70 deg, d = 1.834 Å, intensity 323, (1 1 0)
- 61.72 deg, d = 1.503 Å, intensity 174, (0 2 3)
- 64.79 deg, d = 1.439 Å, intensity 89, (1 1 6)
- 69.75 deg, d = 1.348 Å, intensity 75, (1 1 7)
- 74.41 deg, d = 1.275 Å, intensity 62, (1 0 10)

Crystal structure
Lattice parameters (Å, degrees): 3.6687 3.6687 13.9193 90.00 90.00 120.00
Space group P-3m1 (No. 164)
Asymmetric unit:
Zr 0.3333 0.6667 0.0849 [2 per cell]
Zr 0.3333 0.6667 0.3854 [2 per cell]
Sb 0.3333 0.6667 0.7615 [2 per cell]
As 0.0000 0.0000 0.5000 [1 per cell]
C 0.0000 0.0000 0.0000 [1 per cell]